Structure and computed X-ray powder pattern of Th4CdHg3 (a structure optimized by DFT (GGA-PBE); Cu Kα X-rays).

Structural model:
a = 11.1802 Å, b = 6.8158 Å, c = 5.8019 Å
α = 90.00°, β = 90.00°, γ = 90.00°
Space group Pmma (No. 51)
Unique sites:
1 Th 0.0000 0.2497 0.0000
2 Th 0.2500 0.2505 0.3857
3 Cd 0.0000 0.0000 0.5000
4 Hg 0.0000 0.5000 0.5000
5 Hg 0.2500 0.0000 0.8733
6 Hg 0.2500 0.5000 0.8785

Most intense lines, 15 to 90 degrees two-theta, sorted by position:
two_theta	I (rel.)	hkl
31.5	22	1 2 1
31.9	23	1 0 2
32.0	41	4 0 0
34.5	100	2 2 1
39.0	12	3 2 1
39.4	13	3 0 2
58.7	22	6 2 1
64.0	18	4 4 0
64.7	14	4 2 3
66.6	13	2 0 4

=====

Structure and computed X-ray powder pattern of Th4CdHg2 (a structure optimized by DFT (GGA-PBE); Cu Kα X-rays).

Structural model:
a = 5.4230 Å, b = 5.4230 Å, c = 26.0638 Å
α = 90.00°, β = 90.00°, γ = 120.00°
Space group R-3m (No. 166, hexagonal axes)
Unique sites:
1 Th 0.0000 0.0000 0.1286
2 Th 0.0000 0.0000 0.2725
3 Cd 0.0000 0.0000 0.5000
4 Hg 0.0000 0.0000 0.3909

Most intense lines, 15 to 90 degrees two-theta, sorted by position:
two_theta	I (rel.)	hkl
23.3	12	1 0 4
30.6	21	1 0 7
33.0	100	1 1 0
33.5	51	0 1 8
45.8	20	1 1 9
47.7	19	2 0 8
59.0	20	3 0 0
59.3	20	1 2 8
63.6	14	1 1 15
69.3	12	2 2 0

=====

Structure and computed X-ray powder pattern of TlCd10Hg2 (a structure optimized by DFT (GGA-PBE); Cu Kα X-rays).

Structural model:
a = 6.1665 Å, b = 7.7462 Å, c = 7.7813 Å
α = 82.20°, β = 67.29°, γ = 68.09°
Space group P-1 (No. 2)
Unique sites:
1 Tl 0.0000 0.0000 0.0000
2 Cd 0.0000 0.5000 0.0000
3 Cd 0.0040 0.6452 0.3515
4 Cd 0.2835 0.2187 0.2179
5 Cd 0.3480 0.6454 0.6479
6 Cd 0.4962 0.2103 0.7915
7 Cd 0.5000 0.5000 0.0000
8 Hg 0.0000 0.0000 0.5000
9 Hg 0.5000 0.0000 0.5000

Most intense lines, 15 to 90 degrees two-theta, sorted by position:
two_theta	I (rel.)	hkl
29.9	49	1 -1 2
33.7	57	2 0 0
33.8	60	2 0 2
34.2	57	2 2 0
34.5	56	2 2 2
34.6	52	1 -2 1
34.9	50	1 1 -2
35.2	75	0 2 -2
35.3	50	1 3 0
35.5	100	0 2 2

=====

Structure and computed X-ray powder pattern of TlCd2Hg7 (a structure optimized by DFT (GGA-PBE); Cu Kα X-rays).

Structural model:
a = 6.3009 Å, b = 26.5281 Å, c = 3.1938 Å
α = 90.00°, β = 90.00°, γ = 90.00°
Space group Cmmm (No. 65)
Unique sites:
1 Tl 0.0000 0.0000 0.0000
2 Cd 0.0000 0.2986 0.5000
3 Hg 0.0000 0.1995 0.0000
4 Hg 0.0000 0.5000 0.5000
5 Hg 0.2471 0.1032 0.5000

Most intense lines, 15 to 90 degrees two-theta, sorted by position:
two_theta	I (rel.)	hkl
31.1	33	0 4 1
31.4	100	2 4 0
31.6	41	1 1 1
33.8	83	0 10 0
35.0	64	2 6 0
35.8	95	1 5 1
40.2	30	2 0 1
53.5	26	2 10 1
55.1	24	3 5 1
69.4	39	4 10 0